Structure and calculated PXRD pattern of Ca2AlMoO5 (the GGA+U geometry in the Materials Project; Cu Kα (λ = 1.5418 Å)).
Intensities are scaled so that the largest is 100.

Principal peaks in the range 10 to 90 degrees two-theta, in order of rising 2θ:
| d (Å) | Rel. int. |
| --- | --- |
| 7.247 | 100 |
| 4.092 | 26 |
| 3.533 | 30 |
| 2.967 | 47 |
| 2.826 | 57 |
| 2.742 | 85 |
| 2.686 | 62 |
| 2.099 | 27 |
| 2.046 | 46 |
| 1.812 | 28 |

Cell and atoms:
Unit cell a=8.2590 b=8.2590 c=5.6536 alpha=108.52 beta=108.52 gamma=42.11
Fractional coordinates of all 18 atoms:
Ca 0.0558 0.4829 0.3394
Ca 0.2092 0.7908 0.5000
Ca 0.4829 0.0558 0.8394
Ca 0.7908 0.2092 0.0000
Al 0.4683 0.8057 0.2142
Al 0.8057 0.4683 0.7142
Mo 0.1364 0.6344 0.9180
Mo 0.6344 0.1364 0.4180
O 0.0644 0.4077 0.7354
O 0.2088 0.8596 0.0941
O 0.3417 0.4671 0.6174
O 0.4077 0.0644 0.2354
O 0.4671 0.3417 0.1174
O 0.5578 0.7190 0.5272
O 0.7190 0.5578 0.0272
O 0.8045 0.9293 0.7186
O 0.8596 0.2088 0.5941
O 0.9293 0.8045 0.2186